1.
This entry pairs a crystal structure of K2LiInMo3O12 with its simulated PXRD pattern. Radiation: copper Kα. Structure: a cell relaxed with GGA+U.
Lines closer than 0.1° are merged.

Structural model:
```
K2LiInMo3O12
1.0
7.1519 0.0000 0.0000
0.0000 9.4326 0.0000
-3.1121 0.0000 9.8739
K Li In Mo O
4 2 2 6 24
Direct
0.0464 0.0000 0.0799 K
0.3404 0.4958 0.7028 K
0.6596 0.9958 0.2972 K
0.9536 0.5000 0.9200 K
0.4498 0.8442 0.6291 Li
0.5502 0.3442 0.3709 Li
0.2225 0.0890 0.7614 In
0.7775 0.5890 0.2386 In
0.0716 0.2781 0.4209 Mo
0.3044 0.6649 0.3120 Mo
0.4523 0.7805 0.9581 Mo
0.5477 0.2805 0.0419 Mo
0.6956 0.1649 0.6880 Mo
0.9284 0.7781 0.5791 Mo
0.0295 0.1194 0.3269 O
0.0635 0.5999 0.2090 O
0.1232 0.2434 0.6014 O
0.1405 0.8966 0.6407 O
0.2836 0.3636 0.4035 O
0.2860 0.6474 0.9691 O
0.3238 0.6856 0.4862 O
0.3293 0.2729 0.8925 O
0.3303 0.9540 0.9417 O
0.3315 0.8356 0.2507 O
0.4757 0.2433 0.1882 O
0.4896 0.0579 0.7055 O
0.5104 0.5579 0.2945 O
0.5243 0.7433 0.8118 O
0.6685 0.3356 0.7493 O
0.6697 0.4540 0.0583 O
0.6707 0.7729 0.1075 O
0.6762 0.1856 0.5138 O
0.7140 0.1474 0.0309 O
0.7164 0.8636 0.5965 O
0.8595 0.3966 0.3593 O
0.8768 0.7434 0.3986 O
0.9365 0.0999 0.7910 O
0.9705 0.6194 0.6731 O
```

Peak list (8 most intense, 2θ from 10° to 90°, most intense first)
26.1°, rel. 100.0, (1 2 1)
13.0°, rel. 56.7, (0 1 1)
26.7°, rel. 47.3, (2 1 -1)
13.4°, rel. 40.4, (1 0 -1)
28.7°, rel. 31.6, (0 1 3)
27.0°, rel. 31.0, (2 0 -2)
18.8°, rel. 27.5, (0 2 0)
27.8°, rel. 24.7, (2 1 0)


2.
This entry pairs a crystal structure of La2FeNiO6 with its simulated PXRD pattern. Radiation: copper Kα. Structure: a cell relaxed with GGA+U.
Lines closer than 0.1° are merged.

Structural model:
```
La2FeNiO6
1.0
5.5755 0.0000 0.0000
0.0000 5.5496 0.0000
-5.5558 0.0000 7.8665
La Fe Ni O
4 2 2 12
Direct
0.2435 0.0286 0.2503 La
0.2435 0.4714 0.7503 La
0.7565 0.5286 0.2497 La
0.7565 0.9714 0.7497 La
0.0000 0.0000 0.5000 Fe
0.0000 0.5000 0.0000 Fe
0.5000 0.0000 0.0000 Ni
0.5000 0.5000 0.5000 Ni
0.1761 0.2243 0.9579 O
0.1761 0.2757 0.4579 O
0.2327 0.7190 0.9585 O
0.2327 0.7810 0.4585 O
0.3243 0.0131 0.7469 O
0.3243 0.4869 0.2469 O
0.6757 0.5131 0.7531 O
0.6757 0.9869 0.2531 O
0.7673 0.2190 0.5415 O
0.7673 0.2810 0.0415 O
0.8239 0.7243 0.5421 O
0.8239 0.7757 0.0421 O
```

Peak list (8 most intense, 2θ from 10° to 90°, most intense first)
32.1°, rel. 100.0, (1 1 1)
32.2°, rel. 98.9, (1 1 -3)
46.2°, rel. 57.3, (0 0 4)
57.4°, rel. 35.8, (3 1 -5)
22.6°, rel. 25.1, (0 0 2)
57.2°, rel. 22.1, (2 0 2)
57.5°, rel. 21.9, (1 3 -3)
76.5°, rel. 14.7, (1 1 5)


3.
This entry pairs a crystal structure of LiMnO2 with its simulated PXRD pattern. Radiation: copper Kα. Structure: a cell relaxed with GGA+U.
Lines closer than 0.1° are merged.

Structural model:
```
LiMnO2
1.0
5.9209 0.0000 0.0000
2.9358 5.1827 0.0000
2.7932 1.4851 9.7485
Li Mn O
8 8 16
Direct
0.0000 0.0000 0.0000 Li
0.0017 0.4881 0.0016 Li
0.0117 0.0240 0.4885 Li
0.2514 0.2528 0.2497 Li
0.4906 0.4820 0.0111 Li
0.5013 0.0179 0.4974 Li
0.5032 0.5059 0.4993 Li
0.7520 0.7531 0.7496 Li
0.2513 0.7529 0.2497 Mn
0.2520 0.2532 0.7495 Mn
0.2520 0.7532 0.7495 Mn
0.5068 0.9859 0.0017 Mn
0.7514 0.2531 0.2497 Mn
0.7519 0.2531 0.7498 Mn
0.7516 0.7529 0.2495 Mn
0.9963 0.5201 0.4976 Mn
0.1069 0.6424 0.1417 O
0.1168 0.1081 0.1382 O
0.1418 0.6045 0.6405 O
0.1459 0.1494 0.6189 O
0.3578 0.3568 0.8804 O
0.3621 0.9018 0.8587 O
0.3860 0.3977 0.3611 O
0.3958 0.8632 0.3576 O
0.6045 0.1459 0.6433 O
0.6120 0.6125 0.6408 O
0.6338 0.1095 0.1323 O
0.6393 0.6070 0.1158 O
0.8635 0.8990 0.3835 O
0.8691 0.3964 0.3670 O
0.8917 0.8938 0.8585 O
0.8994 0.3603 0.8560 O
```

Peak list (8 most intense, 2θ from 10° to 90°, most intense first)
18.2°, rel. 100.0, (0 0 2)
42.3°, rel. 99.0, (0 2 -2)
42.9°, rel. 94.9, (2 0 -2)
43.6°, rel. 90.7, (2 2 4)
18.3°, rel. 85.1, (0 1 1)
21.1°, rel. 52.9, (1 0 -1)
21.4°, rel. 49.9, (1 1 2)
30.0°, rel. 41.7, (1 0 3)


4.
This entry pairs a crystal structure of LiFeP4O12 with its simulated PXRD pattern. Radiation: copper Kα. Structure: a cell relaxed with GGA+U.
Lines closer than 0.1° are merged.

Structural model:
```
LiFeP4O12
1.0
7.2216 0.0000 0.0000
0.0000 9.5116 0.0000
-0.7004 0.0000 7.1890
Li Fe P O
2 2 8 24
Direct
0.2260 0.0000 0.2477 Li
0.7740 0.5000 0.7523 Li
0.2121 0.2433 0.7137 Fe
0.7879 0.7433 0.2863 Fe
0.1100 0.5806 0.0907 P
0.1138 0.3666 0.3965 P
0.2899 0.9002 0.6537 P
0.4845 0.7034 0.9577 P
0.5155 0.2034 0.0423 P
0.7101 0.4002 0.3463 P
0.8862 0.8666 0.6035 P
0.8900 0.0806 0.9093 P
0.0046 0.0040 0.0562 O
0.0251 0.7015 0.1939 O
0.0911 0.8292 0.6921 O
0.1132 0.4313 0.5900 O
0.1980 0.4689 0.2518 O
0.2207 0.2287 0.4221 O
0.2846 0.0493 0.7254 O
0.2939 0.6435 0.0212 O
0.3360 0.8799 0.4598 O
0.4065 0.0904 0.1191 O
0.4224 0.2936 0.8829 O
0.4215 0.8163 0.8013 O
0.5785 0.3163 0.1987 O
0.5776 0.7936 0.1171 O
0.5935 0.5904 0.8809 O
0.6640 0.3799 0.5402 O
0.7061 0.1435 0.9788 O
0.7154 0.5493 0.2746 O
0.7793 0.7287 0.5779 O
0.8020 0.9689 0.7482 O
0.8868 0.9313 0.4100 O
0.9089 0.3292 0.3079 O
0.9749 0.2015 0.8061 O
0.9954 0.5040 0.9438 O
```

Peak list (8 most intense, 2θ from 10° to 90°, most intense first)
22.4°, rel. 100.0, (0 2 1)
15.5°, rel. 86.3, (0 1 1)
25.1°, rel. 70.2, (1 2 -1)
16.6°, rel. 60.3, (1 0 -1)
20.5°, rel. 53.3, (1 1 1)
26.5°, rel. 51.8, (2 1 0)
30.4°, rel. 41.8, (1 1 2)
26.6°, rel. 31.4, (2 0 -1)